For Tb6PbO12, a DFT-relaxed cell (GGA-PBE, Alexandria) gives the simulated X-ray powder pattern in this record (copper Kα).
Peak positions follow from Bragg's law for the DFT cell and can differ from measured ones.

Crystal structure
a b c (Å): 6.614 6.614 6.614
angles (deg): 99.30 99.30 99.30
Element x y z (fractional)
Tb1 0.108 0.800 0.639
Tb2 0.200 0.361 0.892
Tb3 0.361 0.892 0.200
Tb4 0.639 0.108 0.800
Tb5 0.800 0.639 0.108
Tb6 0.892 0.200 0.361
Pb1 0.500 0.500 0.500
O1 0.063 0.918 0.322
O2 0.082 0.678 0.937
O3 0.181 0.435 0.559
O4 0.322 0.063 0.918
O5 0.435 0.559 0.181
O6 0.441 0.819 0.565
O7 0.559 0.181 0.435
O8 0.565 0.441 0.819
O9 0.678 0.937 0.082
O10 0.819 0.565 0.441
O11 0.918 0.322 0.063
O12 0.937 0.082 0.678

The 12 most intense peaks (2θ from 10° to 90°), in order of falling intensity:
d/Å  I (rel.)
3.115  100
2.703  45
3.141  33
1.917  30
1.905  29
1.629  25
1.625  14
1.637  13
1.557  11
1.237  9
1.352  8
1.102  7